1.
For Th4Sb2TeSe, a DFT-relaxed cell (GGA-PBE, Alexandria) gives the simulated powder diffraction line list in this record (Cu Kα X-rays).
Neutral-atom scattering factors, no anomalous dispersion.

Top 10 peaks for 2θ = 10–90°, by angle:
d_spacing, I/Imax
3.638, 15
3.129, 100
2.235, 40
2.190, 37
1.819, 21
1.564, 13
1.412, 7
1.410, 12
1.388, 11
1.282, 9

```
data_Th4Sb2TeSe
_cell_length_a 7.537
_cell_length_b 4.476
_cell_length_c 7.735
_cell_angle_alpha 90.00
_cell_angle_beta 110.05
_cell_angle_gamma 90.00
_symmetry_space_group_name_H-M 'P 1 2/m 1'
_symmetry_Int_Tables_number 10
loop_
_symmetry_equiv_pos_as_xyz
'x,y,z'
'-x,-y,-z'
'-x,y,-z'
'x,-y,z'
loop_
_atom_site_label
_atom_site_type_symbol
_atom_site_fract_x
_atom_site_fract_y
_atom_site_fract_z
Th1 Th 0.235 0.000 0.234
Th2 Th 0.242 0.500 0.760
Sb1 Sb 0.500 0.000 0.000
Sb2 Sb 0.500 0.500 0.500
Te1 Te 0.000 0.000 0.500
Se1 Se 0.000 0.500 0.000
```

2.
For Tl2CuGeTe4, a DFT-relaxed cell (GGA-PBE, Alexandria) gives the simulated powder diffraction line list in this record (Cu Kα X-rays).
Neutral-atom scattering factors, no anomalous dispersion.

Top 10 peaks for 2θ = 10–90°, by angle:
d_spacing, I/Imax
3.349, 100
3.278, 62
2.820, 43
2.532, 18
2.157, 47
1.845, 27
1.783, 12
1.730, 16
1.566, 11
1.464, 12

```
data_Tl2CuGeTe4
_cell_length_a 11.277
_cell_length_b 8.324
_cell_length_c 7.974
_cell_angle_alpha 90.00
_cell_angle_beta 134.99
_cell_angle_gamma 90.00
_symmetry_space_group_name_H-M 'C 1 2 1'
_symmetry_Int_Tables_number 5
loop_
_symmetry_equiv_pos_as_xyz
'x,y,z'
'-x,y,-z'
'x+1/2,y+1/2,z'
'-x+1/2,y+1/2,-z'
loop_
_atom_site_label
_atom_site_type_symbol
_atom_site_fract_x
_atom_site_fract_y
_atom_site_fract_z
Tl1 Tl 0.000 0.000 0.000
Tl2 Tl 0.000 0.250 0.500
Cu1 Cu 0.000 0.501 0.000
Ge1 Ge 0.000 0.751 0.500
Te1 Te 0.163 0.595 0.903
Te2 Te 0.240 0.906 0.577
```